Entry 1:
For Sr4Ca4Fe3Co5O24, a GGA+U-relaxed structure gives the simulated XRD peak list in this record (Cu Kα, 1.54184 Å).

Atomic structure:
abc: 7.7049 7.7163 7.7518
angles: 90.01 90.02 90.06
Space group P1 (No. 1)
One atom of each set of equivalent atoms:
1 Sr 0.0000 0.0000 0.0000 [1 per cell]
2 Sr 0.0000 0.9995 0.4958 [1 per cell]
3 Sr 0.0000 0.5078 0.4957 [1 per cell]
4 Sr 0.4997 0.5077 0.9999 [1 per cell]
5 Ca 0.5015 0.5151 0.4966 [1 per cell]
6 Ca 0.5015 0.9930 0.4961 [1 per cell]
7 Ca 0.5016 0.9942 0.9996 [1 per cell]
8 Ca 0.9983 0.5143 0.0005 [1 per cell]
9 Fe 0.2508 0.7538 0.7482 [1 per cell]
10 Fe 0.7479 0.2538 0.7479 [1 per cell]
11 Fe 0.7489 0.7537 0.7481 [1 per cell]
12 Co 0.2512 0.2539 0.7481 [1 per cell]
13 Co 0.2516 0.7536 0.2479 [1 per cell]
14 Co 0.2526 0.2537 0.2481 [1 per cell]
15 Co 0.7481 0.2538 0.2479 [1 per cell]
16 Co 0.7484 0.7537 0.2479 [1 per cell]
17 O 0.0009 0.7500 0.2410 [1 per cell]
18 O 0.0166 0.2550 0.7496 [1 per cell]
19 O 0.2512 0.2536 0.0172 [1 per cell]
20 O 0.2519 0.5034 0.7474 [1 per cell]
21 O 0.2518 0.5140 0.2483 [1 per cell]
22 O 0.2532 0.7543 0.0011 [1 per cell]
23 O 0.2544 0.2537 0.4788 [1 per cell]
24 O 0.2547 0.0044 0.7480 [1 per cell]
25 O 0.2563 0.7540 0.4951 [1 per cell]
26 O 0.2560 0.9934 0.2480 [1 per cell]
27 O 0.4833 0.2532 0.7468 [1 per cell]
28 O 0.4994 0.7559 0.2557 [1 per cell]
29 O 0.5006 0.7557 0.7466 [1 per cell]
30 O 0.5148 0.2506 0.2483 [1 per cell]
31 O 0.7427 0.7540 0.4978 [1 per cell]
32 O 0.7442 0.0052 0.7479 [1 per cell]
33 O 0.7443 0.2536 0.5011 [1 per cell]
34 O 0.7460 0.9888 0.2480 [1 per cell]
35 O 0.7467 0.7542 0.9985 [1 per cell]
36 O 0.7477 0.2532 0.9946 [1 per cell]
37 O 0.7483 0.5023 0.7477 [1 per cell]
38 O 0.7477 0.5185 0.2484 [1 per cell]
39 O 0.9840 0.2567 0.2467 [1 per cell]
40 O 0.9990 0.7514 0.7501 [1 per cell]

Largest 10 diffraction maxima, low angle first, 2θ = 15–90°:
Position (°2θ)	I_rel	(hkl)
32.78	100	2 0 2
32.87	20	2 2 0
40.45	10	2 2 2
46.88	17	0 0 4
47.15	34	4 0 0
58.43	15	2 2 4
58.60	29	4 2 -2
68.68	19	4 0 4
68.89	9	4 4 0
87.47	7	4 4 -4

---

Entry 2:
For Ni2GeO4, a GGA+U-relaxed structure gives the simulated XRD peak list in this record (Cu Kα, 1.54184 Å).

Atomic structure:
abc: 8.3131 8.3131 8.3131
angles: 90.00 90.00 90.00
Space group Fd-3m (No. 227, origin choice 2)
One atom of each set of equivalent atoms:
1 Ni 0.0000 0.0000 0.0000 [16 per cell]
2 Ge 0.1250 0.1250 0.6250 [8 per cell]
3 O 0.0000 0.0000 0.2500 [32 per cell]

Largest 10 diffraction maxima, low angle first, 2θ = 15–90°:
Position (°2θ)	I_rel	(hkl)
30.41	31	2 2 0
35.83	100	3 1 1
37.48	9	2 2 2
43.55	14	4 0 0
54.04	12	4 2 2
57.61	32	5 1 1
63.28	42	4 4 0
71.82	5	6 2 0
74.91	11	5 3 3
87.89	6	6 4 2

---

Entry 3:
For MgTi2Ni2O6, a GGA+U-relaxed structure gives the simulated XRD peak list in this record (Cu Kα, 1.54184 Å).

Atomic structure:
abc: 5.0592 5.1071 5.6721
angles: 112.71 90.52 119.62
Space group P1 (No. 1)
One atom of each set of equivalent atoms:
1 Mg 0.0000 0.0000 0.0000 [1 per cell]
2 Ti 0.2100 0.3679 0.5206 [1 per cell]
3 Ti 0.7882 0.6330 0.4791 [1 per cell]
4 Ni 0.3514 0.7095 0.0643 [1 per cell]
5 Ni 0.6484 0.2885 0.9347 [1 per cell]
6 O 0.0469 0.4554 0.2442 [1 per cell]
7 O 0.2288 0.1754 0.7473 [1 per cell]
8 O 0.4143 0.1782 0.2382 [1 per cell]
9 O 0.5863 0.8227 0.7617 [1 per cell]
10 O 0.7730 0.8309 0.2564 [1 per cell]
11 O 0.9538 0.5463 0.7558 [1 per cell]

Largest 10 diffraction maxima, low angle first, 2θ = 15–90°:
Position (°2θ)	I_rel	(hkl)
30.36	32	-1 1 1
32.27	24	0 1 -2
35.22	100	1 1 -1
35.48	62	2 -1 0
48.78	32	-1 2 1
48.99	29	1 1 1
50.76	25	-2 1 2
51.28	24	2 -1 2
52.54	23	1 1 -3
52.84	24	1 -2 3